BaNdMn4O12: theoretical XRD peak list (Cu Kα (weighted mean of Kα1 and Kα2)), based on DFT lattice parameters and positions (GGA+U).
Peak positions follow from Bragg's law for the DFT cell and can differ from measured ones.

Principal peaks in the range 15 to 90 degrees two-theta, sorted by position:
4.463 Å, 19.89 deg, I = 95
2.733 Å, 32.76 deg, I = 100
2.331 Å, 38.63 deg, I = 51
2.232 Å, 40.42 deg, I = 11
1.933 Å, 47.01 deg, I = 43
1.774 Å, 51.53 deg, I = 22
1.578 Å, 58.49 deg, I = 39
1.488 Å, 62.42 deg, I = 17
1.367 Å, 68.68 deg, I = 24
1.307 Å, 72.31 deg, I = 16

Cell and atoms:
a b c (Å): 5.469 5.469 7.725
angles (deg): 90.00 90.00 90.00
Space group P4/mmm (No. 123)
One atom of each set of equivalent atoms:
Ba 0.000 0.000 0.000
Nd 0.500 0.500 0.500
Mn 0.000 0.500 0.247
O 0.000 0.500 0.000
O 0.000 0.500 0.500
O 0.259 0.259 0.271